# 1
Starting from the PBE geometry in Alexandria, the powder diffractogram of Np3Ge2Rh6 was computed for Cu Kα, 1.54184 Å.
Lines closer than 0.1° are merged.

Structure:
```
data_Np3Ge2Rh6
_cell_length_a 9.136
_cell_length_b 9.136
_cell_length_c 9.136
_cell_angle_alpha 90.00
_cell_angle_beta 90.00
_cell_angle_gamma 90.00
_symmetry_space_group_name_H-M 'I m -3 m'
_symmetry_Int_Tables_number 229
_symmetry_space_group_name_Hall '-I 4 2 3'
loop_
_atom_site_label
_atom_site_fract_x
_atom_site_fract_y
_atom_site_fract_z
Np1 0.000 0.000 0.262
Ge1 0.250 0.250 0.250
Rh1 0.000 0.352 0.352
```

Most intense lines, 2θ from 10° to 90°, low angle first:
| (hkl) | two_theta | I (rel.) |
| --- | --- | --- |
| 3 1 0 | 30.95 | 17 |
| 2 2 2 | 33.99 | 57 |
| 3 2 1 | 36.81 | 50 |
| 4 0 0 | 39.45 | 22 |
| 3 3 0 | 41.95 | 100 |
| 5 2 1 | 55.05 | 14 |
| 4 4 0 | 57.02 | 13 |
| 5 3 0 | 58.95 | 12 |
| 6 1 1 | 62.68 | 15 |
| 6 2 2 | 68.07 | 30 |
| 4 4 4 | 71.55 | 17 |
| 7 4 1 | 86.55 | 21 |

---

# 2
Starting from the PBE geometry in Alexandria, the powder diffractogram of NaAs2Rh3 was computed for Cu Kα, 1.54184 Å.
Lines closer than 0.1° are merged.

Structure:
```
data_NaAs2Rh3
_cell_length_a 16.197
_cell_length_b 4.002
_cell_length_c 9.846
_cell_angle_alpha 90.00
_cell_angle_beta 107.12
_cell_angle_gamma 90.00
_symmetry_space_group_name_H-M 'C 1 2/m 1'
_symmetry_Int_Tables_number 12
loop_
_symmetry_equiv_pos_as_xyz
'x,y,z'
'-x,-y,-z'
'-x,y,-z'
'x,-y,z'
'x+1/2,y+1/2,z'
'-x+1/2,-y+1/2,-z'
'-x+1/2,y+1/2,-z'
'x+1/2,-y+1/2,z'
loop_
_atom_site_label
_atom_site_fract_x
_atom_site_fract_y
_atom_site_fract_z
Na1 0.000 0.000 0.000
Na2 0.163 0.000 0.704
As1 0.042 0.500 0.786
As2 0.139 0.500 0.459
As3 0.189 0.000 0.126
Rh1 0.000 0.500 0.500
Rh2 0.032 0.000 0.322
Rh3 0.121 0.500 0.206
Rh4 0.183 0.500 0.964
Rh5 0.214 0.000 0.395
```

Most intense lines, 2θ from 10° to 90°, low angle first:
| (hkl) | two_theta | I (rel.) |
| --- | --- | --- |
| 2 0 1 | 16.84 | 66 |
| 2 0 -2 | 18.97 | 36 |
| 1 1 0 | 22.95 | 17 |
| 1 1 -3 | 35.47 | 85 |
| 5 1 -2 | 37.24 | 34 |
| 5 1 1 | 40.15 | 29 |
| 3 1 -4 | 43.61 | 17 |
| 3 1 3 | 44.18 | 20 |
| 0 2 0 | 45.33 | 100 |
| 1 1 4 | 46.62 | 23 |
| 5 1 -4 | 46.92 | 32 |
| 6 0 -5 | 50.95 | 16 |